(1)
Starting from DFT lattice parameters and positions (PBE), the powder diffractogram of Er3ScGa2 was simulated for Cu Kα (weighted mean of Kα1 and Kα2).

```
Er3ScGa2
1.0
-3.092 7.768 3.088
3.092 -7.768 3.088
3.092 7.768 -3.088
Er Sc Ga
6 2 4
direct
0.179 0.744 0.923
0.250 0.250 0.000
0.321 0.244 0.565
0.679 0.756 0.435
0.750 0.750 0.000
0.821 0.256 0.077
0.250 0.750 0.500
0.750 0.250 0.500
0.131 0.258 0.389
0.369 0.758 0.128
0.631 0.242 0.872
0.869 0.742 0.611
```

Largest 10 diffraction maxima, in order of rising 2θ, 10 to 90 degrees two-theta:
3.090 Å, 2θ 28.9, I = 23; 2.903 Å, 2θ 30.8, I = 51; 2.871 Å, 2θ 31.2, I = 100; 2.589 Å, 2θ 34.6, I = 29; 2.418 Å, 2θ 37.2, I = 61; 2.228 Å, 2θ 40.5, I = 23; 2.185 Å, 2θ 41.3, I = 59; 1.746 Å, 2θ 52.4, I = 23; 1.670 Å, 2θ 55.0, I = 31; 1.360 Å, 2θ 69.0, I = 20

***

(2)
Starting from DFT lattice parameters and positions (PBE), the powder diffractogram of Er2ScGa6 was simulated for Cu Kα (weighted mean of Kα1 and Kα2).

```
Er2ScGa6
1.0
7.423 0.000 0.000
-3.711 6.428 0.000
0.000 0.000 3.680
Er Sc Ga
2 1 6
direct
0.333 0.667 0.000
0.667 0.333 0.000
0.000 0.000 0.000
0.000 0.331 0.500
0.000 0.669 0.500
0.331 0.000 0.500
0.331 0.331 0.500
0.669 0.000 0.500
0.669 0.669 0.500
```

Largest 10 diffraction maxima, in order of rising 2θ, 10 to 90 degrees two-theta:
6.428 Å, 2θ 13.8, I = 16; 3.711 Å, 2θ 24.0, I = 8; 2.613 Å, 2θ 34.3, I = 100; 2.143 Å, 2θ 42.2, I = 53; 1.840 Å, 2θ 49.5, I = 11; 1.657 Å, 2θ 55.5, I = 25; 1.396 Å, 2θ 67.0, I = 26; 1.311 Å, 2θ 72.1, I = 22; 1.237 Å, 2θ 77.1, I = 9; 1.165 Å, 2θ 82.9, I = 8

***

(3)
Starting from DFT lattice parameters and positions (PBE), the powder diffractogram of Er7GaSe5 was simulated for Cu Kα (weighted mean of Kα1 and Kα2).

```
Er7GaSe5
1.0
1.987 -6.628 0.000
1.987 6.628 0.000
0.000 0.000 23.961
Er Ga Se
14 2 10
direct
0.028 0.972 0.500
0.139 0.861 0.786
0.140 0.860 0.213
0.308 0.692 0.569
0.309 0.691 0.431
0.405 0.595 0.130
0.405 0.595 0.870
0.595 0.405 0.370
0.595 0.405 0.630
0.691 0.309 0.931
0.692 0.308 0.069
0.860 0.140 0.713
0.861 0.139 0.286
0.972 0.028 0.000
0.310 0.690 0.000
0.690 0.310 0.500
0.052 0.948 0.892
0.053 0.947 0.108
0.223 0.777 0.322
0.223 0.777 0.678
0.500 0.500 0.250
0.500 0.500 0.750
0.777 0.223 0.178
0.777 0.223 0.822
0.947 0.053 0.608
0.948 0.052 0.392
```

Largest 10 diffraction maxima, in order of rising 2θ, 10 to 90 degrees two-theta:
3.213 Å, 2θ 27.8, I = 23; 3.041 Å, 2θ 29.4, I = 76; 2.933 Å, 2θ 30.5, I = 33; 2.869 Å, 2θ 31.2, I = 100; 2.772 Å, 2θ 32.3, I = 56; 2.729 Å, 2θ 32.8, I = 40; 2.182 Å, 2θ 41.4, I = 40; 2.005 Å, 2θ 45.2, I = 56; 1.987 Å, 2θ 45.6, I = 36; 1.664 Å, 2θ 55.2, I = 26